# 1
The following is a calculated powder XRD pattern of RbTcNiAs3. It was derived from a cell relaxed with PBE, using Cu Kα (λ = 1.5418 Å).
No peak broadening, texture or thermal motion is included.

Structure:
```
data_RbTcNiAs3
_cell_length_a 8.4022
_cell_length_b 3.9280
_cell_length_c 9.4310
_cell_angle_alpha 90.00
_cell_angle_beta 114.17
_cell_angle_gamma 90.00
_symmetry_space_group_name_H-M 'P 1 21/m 1'
_symmetry_Int_Tables_number 11
_symmetry_space_group_name_Hall '-P 2yb'
loop_
_atom_site_label
_atom_site_type_symbol
_atom_site_fract_x
_atom_site_fract_y
_atom_site_fract_z
_atom_site_occupancy
Rb1 Rb 0.0093 0.2500 0.2388 1
Tc1 Tc 0.4493 0.7500 0.6869 1
Ni1 Ni 0.4951 0.2500 0.9049 1
As1 As 0.2638 0.2500 0.6514 1
As2 As 0.3237 0.2500 0.0509 1
As3 As 0.3989 0.7500 0.3995 1
```

Principal peaks in the range 2θ = 15–90°, sorted by position:
| (hkl) | two_theta | d/Å | I/Imax |
| --- | --- | --- | --- |
| 1 0 2 | 27.6 | 3.229 | 20.5 |
| 1 1 1 | 29.3 | 3.046 | 21.0 |
| 2 1 -1 | 31.2 | 2.868 | 100.0 |
| 2 1 -3 | 38.2 | 2.357 | 32.1 |
| 0 1 3 | 38.9 | 2.316 | 24.0 |
| 3 1 0 | 42.2 | 2.142 | 20.0 |
| 3 1 -3 | 43.2 | 2.095 | 19.3 |
| 2 1 2 | 44.0 | 2.056 | 26.8 |
| 0 2 0 | 46.2 | 1.964 | 35.9 |
| 4 1 -3 | 50.8 | 1.797 | 21.0 |

# 2
The following is a calculated powder XRD pattern of Ce2Ga3BiPt4. It was derived from a cell relaxed with PBE, using Cu Kα (λ = 1.5418 Å).
No peak broadening, texture or thermal motion is included.

Structure:
```
data_Ce2Ga3BiPt4
_cell_length_a 4.2301
_cell_length_b 4.2301
_cell_length_c 11.4780
_cell_angle_alpha 90.00
_cell_angle_beta 90.00
_cell_angle_gamma 90.00
_symmetry_space_group_name_H-M 'P -4 m 2'
_symmetry_Int_Tables_number 115
_symmetry_space_group_name_Hall 'P -4 -2'
loop_
_atom_site_label
_atom_site_type_symbol
_atom_site_fract_x
_atom_site_fract_y
_atom_site_fract_z
_atom_site_occupancy
Ce1 Ce 0.0000 0.5000 0.2360 1
Ga1 Ga 0.0000 0.5000 0.8766 1
Ga2 Ga 0.5000 0.5000 0.5000 1
Bi1 Bi 0.0000 0.0000 0.5000 1
Pt1 Pt 0.0000 0.0000 0.0000 1
Pt2 Pt 0.0000 0.5000 0.6632 1
Pt3 Pt 0.5000 0.5000 0.0000 1
```

Principal peaks in the range 2θ = 15–90°, sorted by position:
| (hkl) | two_theta | d/Å | I/Imax |
| --- | --- | --- | --- |
| 1 0 2 | 26.2 | 3.405 | 11.7 |
| 1 0 3 | 31.5 | 2.838 | 17.4 |
| 1 1 2 | 33.8 | 2.652 | 100.0 |
| 1 0 4 | 37.9 | 2.375 | 11.3 |
| 2 0 0 | 42.8 | 2.115 | 46.1 |
| 1 1 4 | 43.7 | 2.071 | 23.7 |
| 1 0 5 | 44.9 | 2.018 | 18.8 |
| 2 2 0 | 62.1 | 1.496 | 15.4 |
| 2 1 5 | 63.7 | 1.460 | 13.3 |
| 3 1 2 | 72.6 | 1.303 | 22.3 |

# 3
The following is a calculated powder XRD pattern of LaSmHoZn. It was derived from a cell relaxed with PBE, using Cu Kα (λ = 1.5418 Å).
No peak broadening, texture or thermal motion is included.

Structure:
```
data_LaSmHoZn
_cell_length_a 3.6301
_cell_length_b 3.6301
_cell_length_c 8.8150
_cell_angle_alpha 90.00
_cell_angle_beta 90.00
_cell_angle_gamma 90.00
_symmetry_space_group_name_H-M 'P 4 m m'
_symmetry_Int_Tables_number 99
_symmetry_space_group_name_Hall 'P 4 -2'
loop_
_atom_site_label
_atom_site_type_symbol
_atom_site_fract_x
_atom_site_fract_y
_atom_site_fract_z
_atom_site_occupancy
La1 La 0.0000 0.0000 0.0000 1
Sm1 Sm 0.5000 0.5000 0.6953 1
Ho1 Ho 0.5000 0.5000 0.2948 1
Zn1 Zn 0.0000 0.0000 0.4846 1
```

Principal peaks in the range 2θ = 15–90°, sorted by position:
| (hkl) | two_theta | d/Å | I/Imax |
| --- | --- | --- | --- |
| 1 0 1 | 26.6 | 3.357 | 19.6 |
| 0 0 3 | 30.4 | 2.938 | 13.5 |
| 1 0 2 | 31.9 | 2.802 | 100.0 |
| 1 1 0 | 35.0 | 2.567 | 50.1 |
| 1 0 3 | 39.5 | 2.284 | 9.5 |
| 1 1 3 | 47.0 | 1.933 | 16.4 |
| 2 0 0 | 50.3 | 1.815 | 17.8 |
| 1 0 5 | 58.2 | 1.586 | 12.6 |
| 2 1 2 | 60.8 | 1.523 | 31.3 |
| 2 1 5 | 80.4 | 1.194 | 10.0 |

# 4
The following is a calculated powder XRD pattern of Tl4Ga3Hg16. It was derived from a cell relaxed with PBE, using Cu Kα (λ = 1.5418 Å).
No peak broadening, texture or thermal motion is included.

Structure:
```
data_Tl4Ga3Hg16
_cell_length_a 7.1128
_cell_length_b 7.1130
_cell_length_c 12.5172
_cell_angle_alpha 90.01
_cell_angle_beta 90.03
_cell_angle_gamma 90.00
_symmetry_space_group_name_H-M 'P -1'
_symmetry_Int_Tables_number 2
_symmetry_space_group_name_Hall '-P 1'
loop_
_atom_site_label
_atom_site_type_symbol
_atom_site_fract_x
_atom_site_fract_y
_atom_site_fract_z
_atom_site_occupancy
Tl1 Tl 0.0000 0.0000 0.1821 1
Tl2 Tl 0.5000 0.5000 0.1821 1
Ga1 Ga 0.0000 0.0000 0.5000 1
Ga2 Ga 0.0000 0.5000 0.0000 1
Ga3 Ga 0.5000 0.5000 0.5000 1
Hg1 Hg 0.0000 0.5000 0.2269 1
Hg2 Hg 0.2563 0.2437 0.3705 1
Hg3 Hg 0.2562 0.2438 0.6295 1
Hg4 Hg 0.2564 0.7564 0.3705 1
Hg5 Hg 0.2562 0.7562 0.6295 1
Hg6 Hg 0.2798 0.2202 0.0000 1
Hg7 Hg 0.2798 0.7798 0.0000 1
Hg8 Hg 0.5001 0.0000 0.2034 1
```

Principal peaks in the range 2θ = 15–90°, sorted by position:
| (hkl) | two_theta | d/Å | I/Imax |
| --- | --- | --- | --- |
| 2 0 2 | 28.9 | 3.092 | 37.2 |
| 2 0 3 | 33.1 | 2.707 | 100.0 |
| 2 2 0 | 35.7 | 2.515 | 64.1 |
| 0 0 5 | 35.9 | 2.503 | 17.2 |
| 2 0 4 | 38.3 | 2.349 | 13.2 |
| 4 0 0 | 51.4 | 1.778 | 21.8 |
| 2 2 5 | 51.5 | 1.774 | 23.2 |
| 4 2 -3 | 62.5 | 1.486 | 28.9 |
| 2 0 8 | 65.1 | 1.432 | 13.4 |
| 6 2 0 | 86.6 | 1.124 | 11.3 |

# 5
The following is a calculated powder XRD pattern of KSrPaO4. It was derived from a cell relaxed with PBE, using Cu Kα (λ = 1.5418 Å).
No peak broadening, texture or thermal motion is included.

Structure:
```
data_KSrPaO4
_cell_length_a 4.4326
_cell_length_b 4.4326
_cell_length_c 13.0226
_cell_angle_alpha 90.00
_cell_angle_beta 90.00
_cell_angle_gamma 90.00
_symmetry_space_group_name_H-M 'I 4 m m'
_symmetry_Int_Tables_number 107
_symmetry_space_group_name_Hall 'I 4 -2'
loop_
_atom_site_label
_atom_site_type_symbol
_atom_site_fract_x
_atom_site_fract_y
_atom_site_fract_z
_atom_site_occupancy
K1 K 0.0000 0.0000 0.0000 1
Sr1 Sr 0.0000 0.0000 0.2986 1
Pa1 Pa 0.0000 0.0000 0.6470 1
O1 O 0.0000 0.0000 0.4851 1
O2 O 0.0000 0.0000 0.8070 1
O3 O 0.0000 0.5000 0.1629 1
```

Principal peaks in the range 2θ = 15–90°, sorted by position:
| (hkl) | two_theta | d/Å | I/Imax |
| --- | --- | --- | --- |
| 1 0 1 | 21.2 | 4.196 | 62.3 |
| 1 1 0 | 28.5 | 3.134 | 65.8 |
| 1 0 3 | 28.8 | 3.101 | 100.0 |
| 1 0 5 | 40.2 | 2.246 | 24.3 |
| 2 0 0 | 40.7 | 2.216 | 35.0 |
| 2 1 1 | 46.3 | 1.960 | 16.9 |
| 2 1 3 | 50.6 | 1.803 | 43.6 |
| 1 1 6 | 51.2 | 1.784 | 23.4 |
| 2 1 5 | 58.5 | 1.577 | 16.4 |
| 2 0 6 | 59.6 | 1.551 | 18.7 |

# 6
The following is a calculated powder XRD pattern of Ba2SmMgTe5. It was derived from a cell relaxed with PBE, using Cu Kα (λ = 1.5418 Å).
No peak broadening, texture or thermal motion is included.

Structure:
```
data_Ba2SmMgTe5
_cell_length_a 4.6919
_cell_length_b 20.1442
_cell_length_c 14.1298
_cell_angle_alpha 90.00
_cell_angle_beta 90.00
_cell_angle_gamma 90.00
_symmetry_space_group_name_H-M 'C m c 21'
_symmetry_Int_Tables_number 36
_symmetry_space_group_name_Hall 'C 2c -2'
loop_
_atom_site_label
_atom_site_type_symbol
_atom_site_fract_x
_atom_site_fract_y
_atom_site_fract_z
_atom_site_occupancy
Ba1 Ba 0.0000 0.1124 0.0000 1
Ba2 Ba 0.0000 0.1274 0.6287 1
Sm1 Sm 0.0000 0.2087 0.3273 1
Mg1 Mg 0.0000 0.4419 0.7569 1
Te1 Te 0.0000 0.0525 0.3652 1
Te2 Te 0.0000 0.2915 0.9758 1
Te3 Te 0.0000 0.3080 0.6762 1
Te4 Te 0.0000 0.3615 0.3185 1
Te5 Te 0.0000 0.4958 0.0832 1
```

Principal peaks in the range 2θ = 15–90°, sorted by position:
| (hkl) | two_theta | d/Å | I/Imax |
| --- | --- | --- | --- |
| 0 4 3 | 25.9 | 3.440 | 9.5 |
| 1 3 2 | 26.4 | 3.378 | 13.8 |
| 1 1 3 | 27.2 | 3.280 | 100.0 |
| 0 6 1 | 27.3 | 3.266 | 44.1 |
| 1 5 0 | 29.2 | 3.057 | 14.5 |
| 1 5 2 | 31.9 | 2.805 | 41.8 |
| 2 0 0 | 38.4 | 2.346 | 26.2 |
| 1 7 2 | 38.9 | 2.317 | 11.8 |
| 1 7 4 | 45.0 | 2.015 | 21.0 |
| 2 6 1 | 47.7 | 1.905 | 18.9 |